Calculated XRD peak list
Compound: Li4ZnIn2
Radiation: Cu Kα (weighted mean of Kα1 and Kα2)
Structure: the GGA-PBE geometry in Alexandria
Peak positions follow from Bragg's law for the DFT cell and can differ from measured ones.

Structural model:
```
Li4ZnIn2
1.0
2.330 1.345 6.756
-2.330 1.345 6.756
0.000 -2.691 6.756
Li Zn In
4 1 2
direct
0.078 0.078 0.078
0.364 0.364 0.364
0.636 0.636 0.636
0.922 0.922 0.922
0.500 0.500 0.500
0.225 0.225 0.225
0.775 0.775 0.775
```

Peak list (10 most intense, 10 to 90 degrees two-theta, low angle first)
two_theta, d_spacing, I/Imax
13.1, 6.756, 91
23.7, 3.750, 54
28.3, 3.157, 100
38.3, 2.353, 64
38.6, 2.330, 75
41.0, 2.203, 33
48.6, 1.875, 22
54.8, 1.676, 20
55.5, 1.656, 21
69.7, 1.350, 23